1.
Simulated powder XRD pattern
Compound: LiCrP4O12
Radiation: Cu Kα
Structure: a crystal structure in the Materials Project, relaxed with PBE+U

Atomic structure:
Unit cell a=5.2044 b=13.6258 c=7.3709 alpha=90.00 beta=98.31 gamma=90.00
Sites, in units of the cell vectors:
Li 0.1313 0.0000 0.1085
Li 0.8687 0.5000 0.8915
Cr 0.0062 0.2247 0.5015
Cr 0.9938 0.7247 0.4985
P 0.2790 0.8100 0.8832
P 0.3582 0.1671 0.8927
P 0.4750 0.5877 0.4448
P 0.4891 0.3634 0.4444
P 0.5109 0.8634 0.5556
P 0.5250 0.0877 0.5552
P 0.6418 0.6671 0.1073
P 0.7210 0.3100 0.1168
O 0.1257 0.7329 0.7663
O 0.1269 0.2084 0.7691
O 0.1419 0.8937 0.9550
O 0.2045 0.5994 0.4912
O 0.2177 0.3487 0.4874
O 0.2943 0.8064 0.4446
O 0.3108 0.1474 0.4492
O 0.3161 0.1091 0.0557
O 0.4343 0.9764 0.5154
O 0.4497 0.7584 0.0544
O 0.4684 0.6000 0.2280
O 0.4926 0.3514 0.2291
O 0.5074 0.8514 0.7709
O 0.5316 0.1000 0.7720
O 0.5503 0.2584 0.9456
O 0.5657 0.4764 0.4846
O 0.6839 0.6091 0.9443
O 0.6892 0.6474 0.5508
O 0.7057 0.3064 0.5554
O 0.7823 0.8487 0.5126
O 0.7955 0.0994 0.5088
O 0.8581 0.3937 0.0450
O 0.8731 0.7084 0.2309
O 0.8743 0.2329 0.2337

Most intense lines, 2θ from 10° to 90°, sorted by position:
| d_spacing | Position (°2θ) | I/Imax |
| --- | --- | --- |
| 7.294 | 12.13 | 59 |
| 6.813 | 12.99 | 100 |
| 6.430 | 13.77 | 37 |
| 5.150 | 17.22 | 20 |
| 3.791 | 23.47 | 28 |
| 3.770 | 23.60 | 67 |
| 3.647 | 24.41 | 40 |
| 3.410 | 26.13 | 30 |
| 2.842 | 31.48 | 37 |
| 2.722 | 32.91 | 17 |

***

2.
Simulated powder XRD pattern
Compound: LiCrP2O7
Radiation: Cu Kα
Structure: a crystal structure in the Materials Project, relaxed with PBE+U

Atomic structure:
Unit cell a=5.0110 b=8.1242 c=13.7088 alpha=90.00 beta=107.14 gamma=90.00
Sites, in units of the cell vectors:
Li 0.0460 0.2043 0.2442
Li 0.0460 0.2957 0.7442
Li 0.9540 0.7043 0.2558
Li 0.9540 0.7957 0.7558
Cr 0.3584 0.6463 0.6297
Cr 0.3584 0.8537 0.1297
Cr 0.6416 0.1463 0.8703
Cr 0.6416 0.3537 0.3703
P 0.2760 0.2047 0.0221
P 0.2760 0.2953 0.5221
P 0.4602 0.0417 0.6807
P 0.4602 0.4583 0.1807
P 0.5398 0.5417 0.8193
P 0.5398 0.9583 0.3193
P 0.7240 0.7047 0.4779
P 0.7240 0.7953 0.9779
O 0.0322 0.2226 0.9249
O 0.0322 0.2774 0.4249
O 0.2258 0.0903 0.1041
O 0.2258 0.4097 0.6041
O 0.2799 0.6474 0.7690
O 0.2799 0.8526 0.2690
O 0.2807 0.0575 0.7550
O 0.2807 0.4425 0.2550
O 0.2964 0.1098 0.5704
O 0.2964 0.3902 0.0704
O 0.4469 0.6694 0.4986
O 0.4469 0.8306 0.9986
O 0.4537 0.1337 0.3350
O 0.4537 0.3663 0.8350
O 0.5463 0.6337 0.1650
O 0.5463 0.8663 0.6650
O 0.5531 0.1694 0.0014
O 0.5531 0.3306 0.5014
O 0.7036 0.6098 0.9296
O 0.7036 0.8902 0.4296
O 0.7193 0.5575 0.7450
O 0.7193 0.9425 0.2450
O 0.7201 0.1474 0.7310
O 0.7201 0.3526 0.2310
O 0.7742 0.5903 0.3959
O 0.7742 0.9097 0.8959
O 0.9678 0.7226 0.5751
O 0.9678 0.7774 0.0751

Most intense lines, 2θ from 10° to 90°, sorted by position:
| d_spacing | Position (°2θ) | I/Imax |
| --- | --- | --- |
| 6.904 | 12.82 | 28 |
| 5.099 | 17.39 | 29 |
| 4.789 | 18.53 | 100 |
| 4.558 | 19.47 | 90 |
| 3.880 | 22.92 | 53 |
| 3.452 | 25.81 | 38 |
| 3.150 | 28.33 | 46 |
| 2.956 | 30.23 | 26 |
| 2.652 | 33.80 | 29 |
| 2.263 | 39.83 | 27 |

***

3.
Simulated powder XRD pattern
Compound: LiCrP2O7
Radiation: Cu Kα
Structure: a crystal structure in the Materials Project, relaxed with PBE+U

Atomic structure:
Unit cell a=5.0416 b=13.4496 c=9.5020 alpha=90.00 beta=121.42 gamma=90.00
Sites, in units of the cell vectors:
Li 0.0102 0.1198 0.3565
Li 0.0102 0.3802 0.8565
Li 0.9898 0.6198 0.1435
Li 0.9898 0.8802 0.6435
Cr 0.0268 0.1679 0.7338
Cr 0.0268 0.3321 0.2338
Cr 0.9732 0.6679 0.7662
Cr 0.9732 0.8321 0.2662
P 0.2693 0.6781 0.5394
P 0.2693 0.8219 0.0394
P 0.4816 0.5288 0.7744
P 0.4816 0.9712 0.2744
P 0.5184 0.0288 0.7256
P 0.5184 0.4712 0.2256
P 0.7307 0.1781 0.9606
P 0.7307 0.3219 0.4606
O 0.0261 0.6939 0.3564
O 0.0261 0.8061 0.8564
O 0.1702 0.7253 0.6514
O 0.1702 0.7747 0.1514
O 0.2201 0.5443 0.8148
O 0.2201 0.9557 0.3148
O 0.2560 0.1077 0.6316
O 0.2560 0.3923 0.1316
O 0.3071 0.5603 0.5762
O 0.3071 0.9397 0.0762
O 0.4060 0.5750 0.2094
O 0.4060 0.9250 0.7094
O 0.4136 0.2156 0.9243
O 0.4136 0.2844 0.4243
O 0.5864 0.7156 0.5757
O 0.5864 0.7844 0.0757
O 0.5940 0.0750 0.2906
O 0.5940 0.4250 0.7906
O 0.6929 0.0603 0.9238
O 0.6929 0.4397 0.4238
O 0.7440 0.6077 0.8684
O 0.7440 0.8923 0.3684
O 0.7799 0.0443 0.6852
O 0.7799 0.4557 0.1852
O 0.8298 0.2253 0.8486
O 0.8298 0.2747 0.3486
O 0.9739 0.1939 0.1436
O 0.9739 0.3061 0.6437

Most intense lines, 2θ from 10° to 90°, sorted by position:
| d_spacing | Position (°2θ) | I/Imax |
| --- | --- | --- |
| 5.176 | 17.13 | 100 |
| 4.058 | 21.90 | 57 |
| 3.923 | 22.66 | 19 |
| 3.624 | 24.56 | 42 |
| 3.599 | 24.74 | 31 |
| 2.872 | 31.14 | 22 |
| 2.847 | 31.42 | 22 |
| 2.650 | 33.83 | 22 |
| 2.521 | 35.62 | 16 |
| 2.254 | 39.99 | 14 |

***

4.
Simulated powder XRD pattern
Compound: LiCrP2O7
Radiation: Cu Kα
Structure: a crystal structure in the Materials Project, relaxed with PBE+U

Atomic structure:
Unit cell a=8.0976 b=8.0976 c=8.3141 alpha=116.90 beta=116.90 gamma=39.72
Sites, in units of the cell vectors:
Li 0.1846 0.8154 0.5000
Li 0.8154 0.1846 0.0000
Cr 0.7438 0.7919 0.6820
Cr 0.7919 0.7438 0.1820
P 0.0188 0.3070 0.8200
P 0.2295 0.5243 0.0245
P 0.3070 0.0188 0.3200
P 0.5243 0.2295 0.5245
O 0.0218 0.7250 0.8930
O 0.0463 0.1123 0.2371
O 0.0977 0.6467 0.1901
O 0.1123 0.0463 0.7371
O 0.2676 0.2730 0.4175
O 0.2730 0.2676 0.9175
O 0.4254 0.4915 0.5810
O 0.4627 0.8636 0.4753
O 0.4785 0.8651 0.1743
O 0.4915 0.4254 0.0810
O 0.6467 0.0977 0.6901
O 0.7250 0.0218 0.3930
O 0.8636 0.4627 0.9753
O 0.8651 0.4785 0.6743

Most intense lines, 2θ from 10° to 90°, sorted by position:
| d_spacing | Position (°2θ) | I/Imax |
| --- | --- | --- |
| 6.677 | 13.26 | 100 |
| 4.584 | 19.36 | 94 |
| 3.461 | 25.74 | 40 |
| 3.411 | 26.12 | 14 |
| 3.259 | 27.37 | 88 |
| 3.170 | 28.15 | 77 |
| 2.753 | 32.53 | 26 |
| 2.648 | 33.85 | 20 |
| 2.123 | 42.58 | 24 |
| 1.730 | 52.92 | 14 |